Simulated powder XRD pattern of AgBr for Cu Kα (weighted mean of Kα1 and Kα2), from a crystal structure in the Materials Project, relaxed with PBE.

a b c (Å): 4.1122 4.1547 5.8458
angles (deg): 90.00 91.15 90.00
Positions (direct):
Ag (0.2085, 0.2500, 0.2399)
Ag (0.7915, 0.7500, 0.7601)
Br (0.2769, 0.2500, 0.7446)
Br (0.7231, 0.7500, 0.2554)

Top 10 peaks for 10 to 80 degrees two-theta, sorted by position:
30.59 deg, intensity 100; 43.51 deg, intensity 38; 44.11 deg, intensity 32; 54.02 deg, intensity 6; 54.17 deg, intensity 13; 55.14 deg, intensity 5; 63.69 deg, intensity 10; 71.82 deg, intensity 10; 71.94 deg, intensity 5; 72.77 deg, intensity 9

Simulated powder XRD pattern of AgBr for Cu Kα (weighted mean of Kα1 and Kα2), from a crystal structure in the Materials Project, relaxed with PBE.

a b c (Å): 3.6041 3.6041 3.6041
angles (deg): 90.00 90.00 90.00
Positions (direct):
Ag (0.0000, 0.0000, 0.0000)
Br (0.5000, 0.5000, 0.5000)

Top 7 peaks for 10 to 80 degrees two-theta, sorted by position:
24.70 deg, intensity 3; 35.22 deg, intensity 100; 43.49 deg, intensity 1; 50.66 deg, intensity 17; 57.15 deg, intensity 1; 63.20 deg, intensity 34; 74.46 deg, intensity 11

Simulated powder XRD pattern of AgBr for Cu Kα (weighted mean of Kα1 and Kα2), from a crystal structure in the Materials Project, relaxed with PBE.

a b c (Å): 4.4758 4.4758 4.4758
angles (deg): 60.00 60.00 60.00
Positions (direct):
Ag (0.0000, 0.0000, 0.0000)
Br (0.2500, 0.2500, 0.2500)

Top 10 peaks for 10 to 80 degrees two-theta, sorted by position:
24.36 deg, intensity 100; 28.20 deg, intensity 2; 40.30 deg, intensity 76; 47.65 deg, intensity 47; 49.91 deg, intensity 1; 58.31 deg, intensity 12; 64.13 deg, intensity 19; 66.01 deg, intensity 1; 73.26 deg, intensity 24; 78.52 deg, intensity 14

Simulated powder XRD pattern of Ag2H12C3S3Br2N6 for Cu Kα (weighted mean of Kα1 and Kα2), from a crystal structure in the Materials Project, relaxed with PBE.

a b c (Å): 4.4425 8.4071 22.0130
angles (deg): 90.00 101.08 90.00
Positions (direct):
Ag (0.0242, 0.0572, 0.1783)
Ag (0.0242, 0.9428, 0.6783)
Ag (0.9758, 0.0572, 0.3217)
Ag (0.9758, 0.9428, 0.8217)
H (0.1945, 0.3889, 0.1670)
H (0.1945, 0.6111, 0.6670)
H (0.3147, 0.4326, 0.7046)
H (0.3147, 0.5674, 0.2046)
H (0.3230, 0.1151, 0.5215)
H (0.3230, 0.8849, 0.0215)
H (0.3568, 0.3817, 0.5300)
H (0.3568, 0.6183, 0.0300)
H (0.4004, 0.4740, 0.9080)
H (0.4004, 0.5260, 0.4080)
H (0.4795, 0.0106, 0.4207)
H (0.4795, 0.9894, 0.9207)
H (0.5205, 0.0106, 0.0793)
H (0.5205, 0.9894, 0.5793)
H (0.5996, 0.4740, 0.5920)
H (0.5996, 0.5260, 0.0920)
H (0.6432, 0.3817, 0.9700)
H (0.6432, 0.6183, 0.4700)
H (0.6770, 0.1151, 0.9785)
H (0.6770, 0.8849, 0.4785)
H (0.6853, 0.4326, 0.7954)
H (0.6853, 0.5674, 0.2954)
H (0.8055, 0.3889, 0.3330)
H (0.8055, 0.6111, 0.8330)
C (0.4141, 0.2292, 0.9043)
C (0.4141, 0.7708, 0.4043)
C (0.5000, 0.3668, 0.2500)
C (0.5000, 0.6332, 0.7500)
C (0.5859, 0.2292, 0.5957)
C (0.5859, 0.7708, 0.0957)
S (0.1730, 0.2167, 0.8334)
S (0.1730, 0.7833, 0.3334)
S (0.5000, 0.1601, 0.2500)
S (0.5000, 0.8399, 0.7500)
S (0.8270, 0.2167, 0.6666)
S (0.8270, 0.7833, 0.1666)
Br (0.0673, 0.2564, 0.4218)
Br (0.0673, 0.7436, 0.9218)
Br (0.9327, 0.2564, 0.0782)
Br (0.9327, 0.7436, 0.5782)
N (0.3215, 0.4463, 0.2046)
N (0.3215, 0.5537, 0.7046)
N (0.4697, 0.1014, 0.5631)
N (0.4697, 0.8986, 0.0631)
N (0.4987, 0.3728, 0.9281)
N (0.4987, 0.6272, 0.4281)
N (0.5013, 0.3728, 0.5719)
N (0.5013, 0.6272, 0.0719)
N (0.5303, 0.1014, 0.9369)
N (0.5303, 0.8986, 0.4369)
N (0.6785, 0.4463, 0.2954)
N (0.6785, 0.5537, 0.7954)

Top 10 peaks for 10 to 80 degrees two-theta, sorted by position:
10.52 deg, intensity 100; 11.29 deg, intensity 48; 13.35 deg, intensity 41; 20.39 deg, intensity 48; 22.68 deg, intensity 38; 23.00 deg, intensity 54; 24.18 deg, intensity 83; 31.75 deg, intensity 41; 32.75 deg, intensity 28; 36.13 deg, intensity 25